Record 1
The following is a simulated powder diffractogram of MgAg4Au8. It was derived from the GGA-PBE geometry in Alexandria, using a wavelength of 1.5418 Å.
No peak broadening, texture or thermal motion is included.

The 6 most intense peaks (10 to 90 degrees two-theta), by angle:
two_theta, I/Imax
29.57, 63.5
34.28, 87.1
42.31, 100.0
49.26, 41.8
66.91, 23.6
77.38, 54.9

Unit cell a=7.3996 b=7.3996 c=7.3996 alpha=60.00 beta=60.00 gamma=60.00
Sites, in units of the cell vectors:
Mg  0.0000  0.0000  0.0000
Ag  0.4025  0.4025  0.4025
Ag  0.4025  0.4025  0.7926
Ag  0.4025  0.7926  0.4025
Ag  0.7926  0.4025  0.4025
Au  0.0314  0.6562  0.6562
Au  0.1464  0.1464  0.1464
Au  0.1464  0.1464  0.5607
Au  0.1464  0.5607  0.1464
Au  0.5607  0.1464  0.1464
Au  0.6562  0.0314  0.6562
Au  0.6562  0.6562  0.0314
Au  0.6562  0.6562  0.6562

Record 2
The following is a simulated powder diffractogram of CuPbAu3. It was derived from the GGA-PBE geometry in Alexandria, using a wavelength of 1.5418 Å.
No peak broadening, texture or thermal motion is included.

The 6 most intense peaks (10 to 90 degrees two-theta), by angle:
two_theta, I/Imax
31.07, 16.0
33.22, 25.3
35.35, 100.0
46.13, 23.0
55.29, 17.3
60.74, 21.4

Unit cell a=6.6465 b=6.6465 c=5.3932 alpha=90.00 beta=90.00 gamma=120.00
Sites, in units of the cell vectors:
Cu  0.0000  0.0000  0.0000
Cu  0.0000  0.0000  0.5000
Pb  0.3333  0.6667  0.2500
Pb  0.6667  0.3333  0.7500
Au  0.1909  0.3818  0.7500
Au  0.1909  0.8091  0.7500
Au  0.3818  0.1909  0.2500
Au  0.6182  0.8091  0.7500
Au  0.8091  0.1909  0.2500
Au  0.8091  0.6182  0.2500

Record 3
The following is a simulated powder diffractogram of BePt2Rh. It was derived from the GGA-PBE geometry in Alexandria, using a wavelength of 1.5418 Å.
No peak broadening, texture or thermal motion is included.

The 6 most intense peaks (10 to 90 degrees two-theta), by angle:
two_theta, I/Imax
30.08, 85.5
33.29, 74.2
37.62, 55.9
41.63, 99.0
42.42, 100.0
44.19, 78.2

Unit cell a=4.3825 b=5.3349 c=5.3918 alpha=60.75 beta=87.15 gamma=81.98
Sites, in units of the cell vectors:
Be  0.2481  0.3191  0.3481
Be  0.7519  0.6809  0.6519
Pt  0.2683  0.7578  0.3501
Pt  0.2822  0.8847  0.7813
Pt  0.7178  0.1153  0.2187
Pt  0.7317  0.2422  0.6499
Rh  0.1977  0.3407  0.8964
Rh  0.8023  0.6593  0.1036

Record 4
The following is a simulated powder diffractogram of Ba2NaGa2. It was derived from the GGA-PBE geometry in Alexandria, using a wavelength of 1.5418 Å.
No peak broadening, texture or thermal motion is included.

The 6 most intense peaks (10 to 90 degrees two-theta), by angle:
two_theta, I/Imax
10.10, 95.6
27.42, 100.0
27.60, 75.9
31.21, 97.3
41.34, 37.2
49.49, 38.4

Unit cell a=9.0420 b=9.0420 c=4.8562 alpha=90.00 beta=90.00 gamma=151.39
Sites, in units of the cell vectors:
Ba  0.1405  0.8595  0.0000
Ba  0.8595  0.1405  0.0000
Na  0.5000  0.5000  0.5000
Ga  0.2853  0.7147  0.5000
Ga  0.7147  0.2853  0.5000

Record 5
The following is a simulated powder diffractogram of TaMnIrRh. It was derived from the GGA-PBE geometry in Alexandria, using a wavelength of 1.5418 Å.
No peak broadening, texture or thermal motion is included.

The 6 most intense peaks (10 to 90 degrees two-theta), by angle:
two_theta, I/Imax
24.98, 25.7
39.92, 100.0
44.15, 37.5
50.74, 12.5
69.49, 19.3
78.35, 27.6

Unit cell a=4.6222 b=4.6222 c=4.6222 alpha=127.31 beta=127.31 gamma=77.75
Sites, in units of the cell vectors:
Ta  0.0000  0.0000  0.0000
Mn  0.5000  0.5000  0.0000
Ir  0.2500  0.7500  0.5000
Rh  0.7500  0.2500  0.5000

Record 6
The following is a simulated powder diffractogram of La2Pm3Sm6In. It was derived from the GGA-PBE geometry in Alexandria, using a wavelength of 1.5418 Å.
No peak broadening, texture or thermal motion is included.

The 6 most intense peaks (10 to 90 degrees two-theta), by angle:
two_theta, I/Imax
30.28, 33.7
30.39, 100.0
35.20, 67.6
50.56, 24.1
50.70, 23.8
60.21, 37.7

Unit cell a=6.2384 b=6.2384 c=11.9916 alpha=95.01 beta=95.01 gamma=120.04
Sites, in units of the cell vectors:
La  0.1664  0.8336  0.0000
La  0.8336  0.1664  0.0000
Pm  0.0000  0.0000  0.5000
Pm  0.3319  0.6681  0.5000
Pm  0.6681  0.3319  0.5000
Sm  0.0929  0.4176  0.7516
Sm  0.2582  0.2582  0.2496
Sm  0.4176  0.0929  0.7516
Sm  0.5824  0.9071  0.2484
Sm  0.7418  0.7418  0.7504
Sm  0.9071  0.5824  0.2484
In  0.5000  0.5000  0.0000

Record 7
The following is a simulated powder diffractogram of Sr2Ho2Bi2P. It was derived from the GGA-PBE geometry in Alexandria, using a wavelength of 1.5418 Å.
No peak broadening, texture or thermal motion is included.

The 6 most intense peaks (10 to 90 degrees two-theta), by angle:
two_theta, I/Imax
10.25, 35.0
26.10, 46.0
31.78, 100.0
34.11, 62.7
46.79, 38.5
59.60, 34.3

Unit cell a=9.3941 b=9.3941 c=9.3941 alpha=147.50 beta=147.50 gamma=46.62
Sites, in units of the cell vectors:
Sr  0.1728  0.1728  0.0000
Sr  0.8272  0.8272  0.0000
Ho  0.0000  0.5000  0.5000
Ho  0.5000  0.0000  0.5000
Bi  0.3725  0.3725  0.0000
Bi  0.6275  0.6275  0.0000
P  0.0000  0.0000  0.0000

Record 8
The following is a simulated powder diffractogram of NdDyNpN3. It was derived from the GGA-PBE geometry in Alexandria, using a wavelength of 1.5418 Å.
No peak broadening, texture or thermal motion is included.

The 6 most intense peaks (10 to 90 degrees two-theta), by angle:
two_theta, I/Imax
12.37, 69.7
14.90, 93.2
30.05, 60.2
32.34, 100.0
35.28, 75.6
50.41, 51.3

Unit cell a=7.2344 b=3.6172 c=8.6978 alpha=90.00 beta=98.43 gamma=90.00
Sites, in units of the cell vectors:
Nd  0.1667  0.2500  0.1357
Nd  0.8333  0.7500  0.8643
Dy  0.3706  0.7500  0.8514
Dy  0.6294  0.2500  0.1486
Np  0.0570  0.2500  0.5931
Np  0.9430  0.7500  0.4069
N  0.1030  0.2500  0.8483
N  0.2204  0.7500  0.5910
N  0.3976  0.7500  0.1211
N  0.6024  0.2500  0.8789
N  0.7796  0.2500  0.4090
N  0.8970  0.7500  0.1517

Record 9
The following is a simulated powder diffractogram of PuMnBe. It was derived from the GGA-PBE geometry in Alexandria, using a wavelength of 1.5418 Å.
No peak broadening, texture or thermal motion is included.

The 6 most intense peaks (10 to 90 degrees two-theta), by angle:
two_theta, I/Imax
24.58, 88.1
37.80, 100.0
43.27, 41.6
52.49, 17.1
58.78, 28.1
75.73, 26.9

Unit cell a=4.1819 b=4.1819 c=3.1580 alpha=90.00 beta=90.00 gamma=120.00
Sites, in units of the cell vectors:
Pu  0.0000  0.0000  0.0000
Mn  0.6667  0.3333  0.5000
Be  0.3333  0.6667  0.5000

Record 10
The following is a simulated powder diffractogram of TbSi4Rh6. It was derived from the GGA-PBE geometry in Alexandria, using a wavelength of 1.5418 Å.
No peak broadening, texture or thermal motion is included.

The 6 most intense peaks (10 to 90 degrees two-theta), by angle:
two_theta, I/Imax
27.77, 17.2
29.34, 19.9
37.94, 100.0
39.14, 25.3
48.12, 18.1
52.03, 18.4

Unit cell a=7.0312 b=7.0312 c=3.7815 alpha=90.00 beta=90.00 gamma=120.00
Sites, in units of the cell vectors:
Tb  0.0000  0.0000  0.0000
Si  0.3333  0.6667  0.0000
Si  0.3999  0.1999  0.5000
Si  0.8001  0.1999  0.5000
Si  0.8001  0.6001  0.5000
Rh  0.1980  0.3961  0.5000
Rh  0.1980  0.8020  0.5000
Rh  0.5330  0.0660  0.0000
Rh  0.5330  0.4670  0.0000
Rh  0.6039  0.8020  0.5000
Rh  0.9340  0.4670  0.0000

Record 11
The following is a simulated powder diffractogram of Dy2AsSe. It was derived from the GGA-PBE geometry in Alexandria, using a wavelength of 1.5418 Å.
No peak broadening, texture or thermal motion is included.

The 6 most intense peaks (10 to 90 degrees two-theta), by angle:
two_theta, I/Imax
25.89, 28.7
26.91, 32.0
33.25, 100.0
39.39, 38.7
45.02, 52.8
70.94, 22.6

Unit cell a=7.4442 b=7.4442 c=7.4442 alpha=31.39 beta=31.39 gamma=31.39
Sites, in units of the cell vectors:
Dy  0.0000  0.0000  0.0000
Dy  0.1802  0.1802  0.1802
As  0.5885  0.5885  0.5885
Se  0.7580  0.7580  0.7580

Record 12
The following is a simulated powder diffractogram of Zr2TiPb3O9. It was derived from the GGA-PBE geometry in Alexandria, using a wavelength of 1.5418 Å.
No peak broadening, texture or thermal motion is included.

The 6 most intense peaks (10 to 90 degrees two-theta), by angle:
two_theta, I/Imax
20.98, 34.2
29.43, 35.1
30.24, 100.0
30.53, 66.2
42.71, 33.9
53.72, 19.7

Unit cell a=4.2360 b=4.2360 c=12.2701 alpha=90.55 beta=90.55 gamma=88.47
Sites, in units of the cell vectors:
Zr  0.0000  0.0000  0.0000
Zr  0.0015  0.0015  0.3438
Ti  0.0265  0.0265  0.6722
Pb  0.5564  0.5564  0.8165
Pb  0.5589  0.5589  0.5030
Pb  0.5597  0.5597  0.1591
O  0.4571  0.9634  0.6781
O  0.4804  0.9529  0.0105
O  0.4821  0.9556  0.3535
O  0.9519  0.9519  0.8307
O  0.9529  0.4804  0.0105
O  0.9546  0.9546  0.5207
O  0.9556  0.4821  0.3535
O  0.9562  0.9562  0.1754
O  0.9634  0.4571  0.6781